Record 1
Diffraction record for MnVF4. The powder X-ray diffraction pattern is simulated, not measured: it uses a crystal structure in Alexandria, relaxed with GGA+U and Cu Kα (weighted mean of Kα1 and Kα2).
Neutral-atom scattering factors, no anomalous dispersion.

Structure:
```
MnVF4
1.0
3.4852 -3.4899 0.0000
3.4852 3.4899 0.0000
0.0000 0.0000 3.3337
Mn V F
1 1 4
direct
0.0000 0.0000 0.0000
0.5000 0.5000 0.5000
0.1957 0.8043 0.5000
0.3075 0.3075 0.0000
0.6925 0.6925 0.0000
0.8043 0.1957 0.5000
```

Top 10 peaks for 10° ≤ 2θ ≤ 90°, sorted by position:
2θ/deg, Rel. int.
25.5, 100
32.4, 49
37.3, 25
40.9, 9
49.6, 68
52.5, 20
55.1, 12
61.7, 14
63.0, 27
79.6, 10

Record 2
Diffraction record for Tm2Mn3Sb3O14. The powder X-ray diffraction pattern is simulated, not measured: it uses a crystal structure in Alexandria, relaxed with GGA+U and Cu Kα (weighted mean of Kα1 and Kα2).
Neutral-atom scattering factors, no anomalous dispersion.

Structure:
```
Tm2Mn3Sb3O14
1.0
6.1375 -3.6567 0.0000
6.1375 3.6567 0.0000
-4.0298 0.0000 6.0203
Tm Mn Sb O
2 3 3 14
direct
0.0000 0.5000 0.0000
0.5000 0.0000 0.0000
0.0000 0.0000 0.0000
0.0000 0.0000 0.5000
0.5000 0.5000 0.5000
0.0000 0.5000 0.5000
0.5000 0.0000 0.5000
0.5000 0.5000 0.0000
0.1213 0.1213 0.8748
0.1686 0.5836 0.8266
0.1704 0.1704 0.4343
0.1724 0.5689 0.4070
0.4057 0.4057 0.1443
0.4164 0.8314 0.1734
0.4311 0.8276 0.5930
0.5689 0.1724 0.4070
0.5836 0.1686 0.8266
0.5943 0.5943 0.8557
0.8276 0.4311 0.5930
0.8296 0.8296 0.5657
0.8314 0.4164 0.1734
0.8787 0.8787 0.1252
```

Top 10 peaks for 10° ≤ 2θ ≤ 90°, sorted by position:
2θ/deg, Rel. int.
17.4, 21
29.7, 52
30.1, 100
30.9, 47
34.9, 41
35.2, 19
49.6, 33
49.9, 16
51.2, 30
59.1, 28

What did the first record say?
Diffraction record for MnVF4. The powder X-ray diffraction pattern is simulated, not measured: it uses a crystal structure in Alexandria, relaxed with GGA+U and Cu Kα (weighted mean of Kα1 and Kα2).
Neutral-atom scattering factors, no anomalous dispersion.

Structure:
```
MnVF4
1.0
3.4852 -3.4899 0.0000
3.4852 3.4899 0.0000
0.0000 0.0000 3.3337
Mn V F
1 1 4
direct
0.0000 0.0000 0.0000
0.5000 0.5000 0.5000
0.1957 0.8043 0.5000
0.3075 0.3075 0.0000
0.6925 0.6925 0.0000
0.8043 0.1957 0.5000
```

Top 10 peaks for 10° ≤ 2θ ≤ 90°, sorted by position:
2θ/deg, Rel. int.
25.5, 100
32.4, 49
37.3, 25
40.9, 9
49.6, 68
52.5, 20
55.1, 12
61.7, 14
63.0, 27
79.6, 10

Copy entry 1 word for word.
Diffraction record for MnVF4. The powder X-ray diffraction pattern is simulated, not measured: it uses a crystal structure in Alexandria, relaxed with GGA+U and Cu Kα (weighted mean of Kα1 and Kα2).
Neutral-atom scattering factors, no anomalous dispersion.

Structure:
```
MnVF4
1.0
3.4852 -3.4899 0.0000
3.4852 3.4899 0.0000
0.0000 0.0000 3.3337
Mn V F
1 1 4
direct
0.0000 0.0000 0.0000
0.5000 0.5000 0.5000
0.1957 0.8043 0.5000
0.3075 0.3075 0.0000
0.6925 0.6925 0.0000
0.8043 0.1957 0.5000
```

Top 10 peaks for 10° ≤ 2θ ≤ 90°, sorted by position:
2θ/deg, Rel. int.
25.5, 100
32.4, 49
37.3, 25
40.9, 9
49.6, 68
52.5, 20
55.1, 12
61.7, 14
63.0, 27
79.6, 10